This entry pairs a crystal structure of ScCdAgSn with its theoretical XRD peak list. Radiation: copper Kα. Structure: DFT lattice parameters and positions (PBE).
Lines closer than 0.1° are merged.

Cell and atoms:
a b c (Å): 4.250 4.277 4.674
angles (deg): 90.00 90.00 90.00
Space group Pmmm (No. 47)
Inequivalent atoms, fractional coordinates:
Sc 0.000 0.000 0.000
Cd 0.000 0.500 0.500
Ag 0.500 0.000 0.500
Sn 0.500 0.500 0.000

Top 6 peaks for 2θ from 10° to 90°, sorted by position:
2θ (°)  intensity
35.43  100
38.52  20
42.27  15
42.54  15
67.70  14
72.85  12